Diffraction record for HgO. The X-ray diffraction stick pattern is theoretical, not measured: it uses a DFT-relaxed cell (GGA-PBE, the Materials Project) and copper Kα.

Largest 12 diffraction maxima, low angle first, 2θ = 5–70°:
2θ = 28.51°, d 3.131, intensity 78, (0 1 2)
2θ = 30.69°, d 2.913, intensity 100, (0 2 0)
2θ = 35.62°, d 2.520, intensity 25, (2 0 -2)
2θ = 36.38°, d 2.470, intensity 24, (2 0 2)
2θ = 47.73°, d 1.905, intensity 22, (2 2 -2)
2θ = 48.33°, d 1.883, intensity 22, (2 2 2)
2θ = 53.26°, d 1.720, intensity 14, (0 3 2)
2θ = 54.55°, d 1.682, intensity 20, (4 0 0)
2θ = 58.46°, d 1.579, intensity 12, (2 1 -4)
2θ = 59.01°, d 1.565, intensity 10, (0 2 4)
2θ = 59.50°, d 1.554, intensity 12, (2 1 4)
2θ = 63.90°, d 1.457, intensity 15, (0 4 0)

Crystal structure
```
HgO
1.0
6.7364 0.0000 0.0000
0.0000 5.8221 0.0000
-0.1515 0.0000 7.4269
Hg O
8 8
Cartesian
0.7104 1.4555 2.8071
0.6861 1.4555 6.5060
2.5336 4.3666 0.8735
2.5069 4.3666 4.5844
4.0781 1.4555 2.8425
4.0513 1.4555 6.5534
5.8988 4.3666 0.9209
5.8745 4.3666 4.6198
0.8633 4.3666 2.0895
0.8335 4.3666 5.7950
2.3771 1.4555 4.0219
2.4980 1.4555 0.3004
4.0870 4.3666 7.1265
4.2079 4.3666 3.4050
5.7515 1.4555 1.6319
5.7217 1.4555 5.3374
```